# Li4MnCo2O7
Calculated powder X-ray diffraction pattern, Cu Kα (weighted mean of Kα1 and Kα2). Input: a DFT-relaxed cell (GGA+U, Alexandria).

Crystal structure
```
Li4MnCo2O7
1.0
5.046 0.000 0.000
-1.732 5.584 0.000
-0.771 -0.450 8.613
Li Mn Co O
8 2 4 14
Direct
0.000 0.000 0.000
0.008 0.479 0.001
0.142 0.278 0.286
0.302 0.553 0.589
0.438 0.837 0.871
0.595 0.139 0.137
0.728 0.413 0.439
0.879 0.690 0.736
0.584 0.621 0.148
0.731 0.920 0.443
0.156 0.769 0.283
0.302 0.060 0.586
0.441 0.343 0.868
0.872 0.202 0.726
0.018 0.767 0.501
0.157 0.495 0.793
0.158 0.049 0.785
0.313 0.801 0.096
0.322 0.326 0.078
0.449 0.076 0.387
0.457 0.612 0.363
0.582 0.351 0.665
0.610 0.889 0.645
0.703 0.649 0.948
0.715 0.172 0.920
0.855 0.935 0.231
0.856 0.469 0.224
0.992 0.221 0.513
```

Main lines, sorted by position (2θ from 10° to 90°):
(hkl)  2θ (°)  I (rel.)
0 1 -1  18.5  100
2 -1 0  36.1  13
1 1 2  36.6  24
2 -2 1  43.6  27
1 2 1  44.3  51
-1 3 1  48.2  8
1 1 -5  58.4  9
1 -4 0  63.7  7
3 0 2  64.1  7
-3 2 3  64.3  7